Diffraction record for LiMnC2O6. The X-ray powder pattern is computed, not measured: it uses a PBE+U-relaxed structure and Cu Kα (weighted mean of Kα1 and Kα2).
Intensities are scaled so that the largest is 100.

Principal peaks in the range 2θ from 10° to 90°, low angle first:
17.24 deg, rel. 52, hkl 0 0 3
22.48 deg, rel. 58, hkl 1 0 1
31.88 deg, rel. 100, hkl 1 0 4
36.47 deg, rel. 11, hkl 0 1 5
42.09 deg, rel. 59, hkl 2 -1 3
45.89 deg, rel. 15, hkl 2 0 2
52.44 deg, rel. 19, hkl 0 1 8
52.61 deg, rel. 25, hkl 2 -1 6
60.14 deg, rel. 12, hkl 2 1 1
68.85 deg, rel. 13, hkl 3 0 0

Cell and atoms:
Unit cell a=4.7241 b=4.7241 c=15.4324 alpha=90.00 beta=90.00 gamma=120.00
Space group R-3 (No. 148, hexagonal axes)
Asymmetric unit:
Li: 0.0000 0.0000 0.0000 [3 per cell]
Mn: 0.0000 0.0000 0.5000 [3 per cell]
C: 0.0000 0.0000 0.2454 [6 per cell]
O: 0.0080 0.2777 0.2460 [18 per cell]